Computed powder XRD pattern
Compound: Sm12HgPd6
Radiation: Cu Ka
Structure: a structure optimized by DFT (GGA-PBE)
Neutral-atom scattering factors, no anomalous dispersion.

Top 10 peaks for 10 to 90 degrees two-theta, by angle:
index  2theta  d (Å)  I (rel.)
3 0 1  27.8  3.211  14
2 2 2  30.5  2.931  26
3 1 2  33.0  2.714  100
4 0 0  35.4  2.539  15
5 0 1  45.5  1.992  20
5 3 0  52.5  1.742  19
6 0 0  54.2  1.692  13
5 2 3  55.8  1.647  29
5 3 4  64.9  1.436  16
7 0 5  81.5  1.180  13

Unit cell a=10.1550 b=10.1550 c=10.1550 alpha=90.00 beta=90.00 gamma=90.00
Space group Im-3 (No. 204)
Inequivalent atoms, fractional coordinates:
Sm1 0.0000 0.2973 0.1831 (multiplicity 24)
Hg1 0.0000 0.0000 0.0000 (multiplicity 2)
Pd1 0.0000 0.1349 0.5000 (multiplicity 12)